[1]
The following is a calculated PXRD pattern of NaMg6C. It was derived from a GGA-PBE-relaxed structure, using a wavelength of 1.5418 Å.
Neutral-atom scattering factors, no anomalous dispersion.

Cell and atoms:
a b c (Å): 3.6886 6.8772 14.5791
angles (deg): 90.00 90.00 90.00
Element x y z (fractional)
Na: 0.0000 0.0000 0.0000
Na: 0.0000 0.5000 0.5000
Mg: 0.0000 0.0000 0.5061
Mg: 0.0000 0.1882 0.7921
Mg: 0.0000 0.3118 0.2921
Mg: 0.0000 0.5000 0.0061
Mg: 0.0000 0.6882 0.2921
Mg: 0.0000 0.8118 0.7921
Mg: 0.5000 0.0000 0.3462
Mg: 0.5000 0.2231 0.6391
Mg: 0.5000 0.2769 0.1391
Mg: 0.5000 0.5000 0.8462
Mg: 0.5000 0.7231 0.1391
Mg: 0.5000 0.7769 0.6391
C: 0.5000 0.0000 0.7656
C: 0.5000 0.5000 0.2656

Largest 6 diffraction maxima, low angle first, 2θ = 10–90°:
| Position (°2θ) | d_spacing | intensity |
| --- | --- | --- |
| 27.09 | 3.291 | 257 |
| 28.70 | 3.110 | 479 |
| 34.60 | 2.593 | 729 |
| 37.00 | 2.430 | 233 |
| 37.84 | 2.378 | 1000 |
| 49.42 | 1.844 | 227 |

[2]
The following is a calculated PXRD pattern of Na3GaS3. It was derived from a GGA-PBE-relaxed structure, using a wavelength of 1.5418 Å.
Neutral-atom scattering factors, no anomalous dispersion.

Cell and atoms:
a b c (Å): 7.2454 7.0036 14.6607
angles (deg): 90.00 119.16 90.00
Element x y z (fractional)
Na: 0.0673 0.0367 0.2926
Na: 0.0673 0.4633 0.7926
Na: 0.2692 0.5021 0.6105
Na: 0.2692 0.9979 0.1105
Na: 0.3084 0.0013 0.6039
Na: 0.3084 0.4987 0.1039
Na: 0.6916 0.5013 0.8961
Na: 0.6916 0.9987 0.3961
Na: 0.7308 0.0021 0.8895
Na: 0.7308 0.4979 0.3895
Na: 0.9327 0.5367 0.2074
Na: 0.9327 0.9633 0.7074
Ga: 0.3330 0.6427 0.4178
Ga: 0.3330 0.8573 0.9178
Ga: 0.6670 0.1427 0.0822
Ga: 0.6670 0.3573 0.5822
S: 0.0527 0.7425 0.9283
S: 0.0527 0.7575 0.4283
S: 0.3437 0.7446 0.2739
S: 0.3437 0.7554 0.7739
S: 0.3517 0.1934 0.9293
S: 0.3517 0.3066 0.4293
S: 0.6483 0.6934 0.5707
S: 0.6483 0.8066 0.0707
S: 0.6563 0.2446 0.2261
S: 0.6563 0.2554 0.7261
S: 0.9473 0.2425 0.5717
S: 0.9473 0.2575 0.0717

Largest 6 diffraction maxima, low angle first, 2θ = 10–90°:
| Position (°2θ) | d_spacing | intensity |
| --- | --- | --- |
| 14.07 | 6.292 | 1000 |
| 14.42 | 6.144 | 607 |
| 17.61 | 5.036 | 382 |
| 18.78 | 4.725 | 626 |
| 18.90 | 4.695 | 685 |
| 35.34 | 2.540 | 606 |

[3]
The following is a calculated PXRD pattern of Sr2GdReO6. It was derived from a GGA-PBE-relaxed structure, using a wavelength of 1.5418 Å.
Neutral-atom scattering factors, no anomalous dispersion.

Cell and atoms:
a b c (Å): 5.9453 5.9453 5.9453
angles (deg): 60.00 60.00 60.00
Element x y z (fractional)
Sr: 0.2500 0.2500 0.2500
Sr: 0.7500 0.7500 0.7500
Gd: 0.0000 0.0000 0.0000
Re: 0.5000 0.5000 0.5000
O: 0.2659 0.2659 0.7341
O: 0.2659 0.7341 0.2659
O: 0.2659 0.7341 0.7341
O: 0.7341 0.2659 0.2659
O: 0.7341 0.2659 0.7341
O: 0.7341 0.7341 0.2659

Largest 6 diffraction maxima, low angle first, 2θ = 10–90°:
| Position (°2θ) | d_spacing | intensity |
| --- | --- | --- |
| 21.13 | 4.204 | 201 |
| 30.06 | 2.973 | 1000 |
| 43.03 | 2.102 | 298 |
| 53.38 | 1.716 | 407 |
| 62.49 | 1.486 | 186 |
| 86.65 | 1.124 | 220 |

[4]
The following is a calculated PXRD pattern of CeZnRh. It was derived from a GGA-PBE-relaxed structure, using a wavelength of 1.5418 Å.
Neutral-atom scattering factors, no anomalous dispersion.

Cell and atoms:
a b c (Å): 7.3748 3.9351 16.2321
angles (deg): 90.00 90.00 90.00
Element x y z (fractional)
Ce: 0.0530 0.2500 0.2164
Ce: 0.1728 0.2500 0.4409
Ce: 0.3272 0.7500 0.9409
Ce: 0.4470 0.7500 0.7164
Ce: 0.5530 0.2500 0.2836
Ce: 0.6728 0.2500 0.0591
Ce: 0.8272 0.7500 0.5591
Ce: 0.9470 0.7500 0.7836
Zn: 0.0024 0.7500 0.0602
Zn: 0.1184 0.2500 0.6519
Zn: 0.3816 0.7500 0.1519
Zn: 0.4976 0.2500 0.5602
Zn: 0.5024 0.7500 0.4398
Zn: 0.6184 0.2500 0.8481
Zn: 0.8816 0.7500 0.3481
Zn: 0.9976 0.2500 0.9398
Rh: 0.2452 0.2500 0.8150
Rh: 0.2505 0.2500 0.0625
Rh: 0.2495 0.7500 0.5625
Rh: 0.2548 0.7500 0.3150
Rh: 0.7452 0.2500 0.6850
Rh: 0.7505 0.2500 0.4375
Rh: 0.7495 0.7500 0.9375
Rh: 0.7548 0.7500 0.1850

Largest 6 diffraction maxima, low angle first, 2θ = 10–90°:
| Position (°2θ) | d_spacing | intensity |
| --- | --- | --- |
| 33.30 | 2.691 | 404 |
| 33.98 | 2.638 | 705 |
| 35.86 | 2.504 | 536 |
| 36.94 | 2.434 | 426 |
| 37.32 | 2.409 | 1000 |
| 46.13 | 1.968 | 424 |

[5]
The following is a calculated PXRD pattern of BaEu3. It was derived from a GGA-PBE-relaxed structure, using a wavelength of 1.5418 Å.
Neutral-atom scattering factors, no anomalous dispersion.

Cell and atoms:
a b c (Å): 8.2487 8.2487 6.6584
angles (deg): 90.00 90.00 120.00
Element x y z (fractional)
Ba: 0.3333 0.6667 0.2500
Ba: 0.6667 0.3333 0.7500
Eu: 0.1643 0.3286 0.7500
Eu: 0.1643 0.8357 0.7500
Eu: 0.3286 0.1643 0.2500
Eu: 0.6714 0.8357 0.7500
Eu: 0.8357 0.1643 0.2500
Eu: 0.8357 0.6714 0.2500

Largest 6 diffraction maxima, low angle first, 2θ = 10–90°:
| Position (°2θ) | d_spacing | intensity |
| --- | --- | --- |
| 24.93 | 3.572 | 229 |
| 26.78 | 3.329 | 257 |
| 28.36 | 3.148 | 1000 |
| 43.90 | 2.062 | 203 |
| 48.28 | 1.885 | 231 |
| 52.18 | 1.753 | 244 |

[6]
The following is a calculated PXRD pattern of Rb3Ag. It was derived from a GGA-PBE-relaxed structure, using a wavelength of 1.5418 Å.
Neutral-atom scattering factors, no anomalous dispersion.

Cell and atoms:
a b c (Å): 6.1361 6.1361 6.1361
angles (deg): 90.00 90.00 90.00
Element x y z (fractional)
Rb: 0.0000 0.0000 0.5000
Rb: 0.0000 0.5000 0.0000
Rb: 0.5000 0.0000 0.0000
Ag: 0.5000 0.5000 0.5000

Largest 6 diffraction maxima, low angle first, 2θ = 10–90°:
| Position (°2θ) | d_spacing | intensity |
| --- | --- | --- |
| 25.14 | 3.543 | 1000 |
| 29.11 | 3.068 | 516 |
| 41.63 | 2.169 | 381 |
| 49.25 | 1.850 | 460 |
| 66.41 | 1.408 | 185 |
| 68.37 | 1.372 | 169 |

[7]
The following is a calculated PXRD pattern of AlSb. It was derived from a GGA-PBE-relaxed structure, using a wavelength of 1.5418 Å.
Neutral-atom scattering factors, no anomalous dispersion.

Cell and atoms:
a b c (Å): 6.2338 6.2338 6.2338
angles (deg): 90.00 90.00 90.00
Element x y z (fractional)
Al: 0.0000 0.0000 0.0000
Al: 0.0000 0.5000 0.5000
Al: 0.5000 0.0000 0.5000
Al: 0.5000 0.5000 0.0000
Sb: 0.2500 0.2500 0.2500
Sb: 0.2500 0.7500 0.7500
Sb: 0.7500 0.2500 0.7500
Sb: 0.7500 0.7500 0.2500

Largest 6 diffraction maxima, low angle first, 2θ = 10–90°:
| Position (°2θ) | d_spacing | intensity |
| --- | --- | --- |
| 24.74 | 3.599 | 1000 |
| 28.64 | 3.117 | 293 |
| 40.95 | 2.204 | 555 |
| 48.43 | 1.880 | 476 |
| 65.24 | 1.430 | 191 |
| 74.58 | 1.272 | 185 |

[8]
The following is a calculated PXRD pattern of Lu3NbO7. It was derived from a GGA-PBE-relaxed structure, using a wavelength of 1.5418 Å.
Neutral-atom scattering factors, no anomalous dispersion.

Cell and atoms:
a b c (Å): 8.0148 8.0148 5.2534
angles (deg): 90.00 90.00 125.55
Element x y z (fractional)
Lu: 0.0000 0.5000 0.5000
Lu: 0.1222 0.8778 0.9704
Lu: 0.3778 0.6222 0.9704
Lu: 0.5000 0.0000 0.5000
Lu: 0.6222 0.3778 0.0296
Lu: 0.8778 0.1222 0.0296
Nb: 0.2500 0.2500 0.5000
Nb: 0.7500 0.7500 0.5000
O: 0.0140 0.9860 0.7172
O: 0.0901 0.3379 0.7398
O: 0.1621 0.4099 0.2602
O: 0.2500 0.7500 0.7409
O: 0.3379 0.0901 0.2602
O: 0.4099 0.1621 0.7398
O: 0.4860 0.5140 0.7172
O: 0.5140 0.4860 0.2828
O: 0.5901 0.8379 0.2602
O: 0.6621 0.9099 0.7398
O: 0.7500 0.2500 0.2591
O: 0.8379 0.5901 0.7398
O: 0.9099 0.6621 0.2602
O: 0.9860 0.0140 0.2828

Largest 6 diffraction maxima, low angle first, 2θ = 10–90°:
| Position (°2θ) | d_spacing | intensity |
| --- | --- | --- |
| 29.71 | 3.007 | 1000 |
| 30.31 | 2.949 | 970 |
| 35.12 | 2.556 | 450 |
| 49.77 | 1.832 | 770 |
| 59.35 | 1.557 | 291 |
| 60.39 | 1.533 | 269 |

[9]
The following is a calculated PXRD pattern of In2Pt3. It was derived from a GGA-PBE-relaxed structure, using a wavelength of 1.5418 Å.
Neutral-atom scattering factors, no anomalous dispersion.

Cell and atoms:
a b c (Å): 5.6650 5.6650 13.9671
angles (deg): 90.00 90.00 120.00
Element x y z (fractional)
In: 0.0000 0.0000 0.2500
In: 0.0000 0.0000 0.7500
In: 0.3333 0.6667 0.0868
In: 0.3333 0.6667 0.4132
In: 0.3333 0.6667 0.7500
In: 0.6667 0.3333 0.2500
In: 0.6667 0.3333 0.5868
In: 0.6667 0.3333 0.9132
Pt: 0.1657 0.3314 0.5896
Pt: 0.1657 0.3314 0.9104
Pt: 0.1657 0.8343 0.5896
Pt: 0.1657 0.8343 0.9104
Pt: 0.3314 0.1657 0.0896
Pt: 0.3314 0.1657 0.4104
Pt: 0.6686 0.8343 0.5896
Pt: 0.6686 0.8343 0.9104
Pt: 0.8343 0.1657 0.0896
Pt: 0.8343 0.1657 0.4104
Pt: 0.8343 0.6686 0.0896
Pt: 0.8343 0.6686 0.4104

Largest 6 diffraction maxima, low angle first, 2θ = 10–90°:
| Position (°2θ) | d_spacing | intensity |
| --- | --- | --- |
| 12.68 | 6.984 | 239 |
| 37.21 | 2.416 | 234 |
| 38.68 | 2.328 | 307 |
| 41.61 | 2.170 | 1000 |
| 71.99 | 1.312 | 229 |
| 79.16 | 1.210 | 231 |